Theoretical PXRD pattern of UAs2 for Cu Kα, from a DFT-relaxed cell (PBE, the Materials Project).
Peak positions follow from Bragg's law for the DFT cell and can differ from measured ones.

Most intense lines, 15° ≤ 2θ ≤ 90°, by angle:
25.02°, rel. 89, (1 0 1)
31.94°, rel. 49, (1 1 0)
33.19°, rel. 34, (0 0 3)
33.85°, rel. 49, (1 1 1)
39.09°, rel. 100, (1 1 2)
40.44°, rel. 47, (1 0 3)
45.79°, rel. 51, (2 0 0)
52.88°, rel. 25, (2 1 1)
57.72°, rel. 28, (2 0 3)
62.71°, rel. 27, (2 1 3)
66.74°, rel. 33, (2 2 0)
80.17°, rel. 26, (3 1 2)

Structure:
Cell lengths 3.9631, 3.9631, 8.0968 Å; angles 90.00, 90.00, 90.00 degrees
Positions (direct):
1 U 0.2500 0.2500 0.2164
2 U 0.7500 0.7500 0.7836
3 As 0.2500 0.2500 0.8576
4 As 0.2500 0.7500 0.5000
5 As 0.7500 0.2500 0.5000
6 As 0.7500 0.7500 0.1424